# Zr3S2I4
Computed X-ray diffraction stick pattern, Cu Kα X-rays. Input: a structure optimized by DFT (GGA-PBE).

Principal peaks in the range 10 to 90 degrees two-theta, by angle:
(hkl)	d (Å)	I_rel
1 0 0	3.229	54.6
1 0 5	2.764	17.0
1 0 6	2.615	100.0
1 0 8	2.323	17.6
1 0 9	2.187	16.4
1 1 0	1.864	29.6
2 0 6	1.518	18.2
2 1 6	1.177	15.8

Structure:
Cell: 3.729 3.729 26.746 Å, 90.00 90.00 120.00°
Element x y z (fractional)
Zr (0.000, 0.000, 0.000)
Zr (0.333, 0.667, 0.260)
Zr (0.333, 0.667, 0.740)
S (0.333, 0.667, 0.058)
S (0.333, 0.667, 0.942)
I (0.000, 0.000, 0.186)
I (0.000, 0.000, 0.335)
I (0.000, 0.000, 0.665)
I (0.000, 0.000, 0.814)